Entry 1:
CoGe4Ru2: theoretical powder XRD pattern (a wavelength of 1.5418 Å), based on DFT lattice parameters and positions (GGA-PBE).
Neutral-atom scattering factors, no anomalous dispersion.

Main lines, in order of rising 2θ (10° ≤ 2θ ≤ 90°):
2θ 35.19, intensity 48
2θ 35.34, intensity 100
2θ 43.86, intensity 38
2θ 44.41, intensity 24
2θ 44.75, intensity 72
2θ 56.25, intensity 41

```
CoGe4Ru2
1.0
13.0306 0.0000 0.0000
0.0000 3.2216 0.0000
-2.4142 0.0000 5.1584
Co Ge Ru
2 8 4
direct
0.0000 0.0000 0.0000
0.5000 0.5000 0.0000
0.1004 0.0000 0.4565
0.1129 0.5000 0.9292
0.3871 0.0000 0.0708
0.3996 0.5000 0.5435
0.6004 0.5000 0.4565
0.6129 0.0000 0.9292
0.8871 0.5000 0.0708
0.8996 0.0000 0.5435
0.2489 0.0000 0.2600
0.2511 0.5000 0.7400
0.7489 0.5000 0.2600
0.7511 0.0000 0.7400
```

---

Entry 2:
CoGeS: theoretical powder XRD pattern (a wavelength of 1.5418 Å), based on DFT lattice parameters and positions (GGA-PBE).
Neutral-atom scattering factors, no anomalous dispersion.

Main lines, in order of rising 2θ (10° ≤ 2θ ≤ 90°):
2θ 24.26, intensity 55
2θ 36.66, intensity 100
2θ 37.18, intensity 48
2θ 37.32, intensity 57
2θ 50.27, intensity 48
2θ 56.24, intensity 49

```
CoGeS
1.0
5.7511 0.0000 0.0000
0.0000 5.7064 0.0000
-2.2036 0.0000 5.3392
Co Ge S
4 4 4
direct
0.2070 0.0115 0.1983
0.2070 0.4885 0.6983
0.7930 0.5115 0.3017
0.7930 0.9885 0.8017
0.3552 0.6359 0.1263
0.3552 0.8641 0.6263
0.6448 0.1359 0.3737
0.6448 0.3641 0.8737
0.1540 0.1309 0.8204
0.1540 0.3691 0.3204
0.8460 0.6309 0.6796
0.8460 0.8691 0.1796
```

---

Entry 3:
CoGe3S: theoretical powder XRD pattern (a wavelength of 1.5418 Å), based on DFT lattice parameters and positions (GGA-PBE).
Neutral-atom scattering factors, no anomalous dispersion.

Main lines, in order of rising 2θ (10° ≤ 2θ ≤ 90°):
2θ 19.61, intensity 64
2θ 34.30, intensity 76
2θ 39.82, intensity 100
2θ 44.75, intensity 31
2θ 57.57, intensity 65
2θ 68.76, intensity 29

```
CoGe3S
1.0
4.5281 0.0000 0.0000
0.0000 4.5281 0.0000
0.0000 0.0000 4.5281
Co Ge S
1 3 1
direct
0.0000 0.0000 0.0000
0.0000 0.0000 0.5000
0.0000 0.5000 0.0000
0.5000 0.0000 0.0000
0.5000 0.5000 0.5000
```

---

Entry 4:
CoGeS: theoretical powder XRD pattern (a wavelength of 1.5418 Å), based on DFT lattice parameters and positions (GGA-PBE).
Neutral-atom scattering factors, no anomalous dispersion.

Main lines, in order of rising 2θ (10° ≤ 2θ ≤ 90°):
2θ 33.85, intensity 49
2θ 34.21, intensity 54
2θ 36.45, intensity 100
2θ 37.45, intensity 58
2θ 37.78, intensity 64
2θ 56.73, intensity 54

```
CoGeS
1.0
5.7927 0.0000 0.0000
0.0000 5.6988 0.0000
-2.4902 0.0000 5.2964
Co Ge S
4 4 4
direct
0.2092 0.0000 0.4757
0.2460 0.4989 0.9472
0.7540 0.9989 0.0528
0.7908 0.5000 0.5243
0.1542 0.1353 0.0736
0.3488 0.6334 0.3814
0.6512 0.1334 0.6186
0.8458 0.6353 0.9264
0.1608 0.3673 0.5722
0.3499 0.8714 0.8780
0.6501 0.3714 0.1220
0.8392 0.8673 0.4278
```

---

Entry 5:
ScCo3Ge3: theoretical powder XRD pattern (a wavelength of 1.5418 Å), based on DFT lattice parameters and positions (GGA-PBE).
Neutral-atom scattering factors, no anomalous dispersion.

Main lines, in order of rising 2θ (10° ≤ 2θ ≤ 90°):
2θ 21.82, intensity 87
2θ 33.80, intensity 99
2θ 38.27, intensity 74
2θ 40.59, intensity 100
2θ 45.10, intensity 58
2θ 51.97, intensity 84

```
ScCo3Ge3
1.0
8.1478 0.0000 0.0000
-4.0739 7.0562 0.0000
0.0000 0.0000 4.0209
Sc Co Ge
2 6 6
direct
0.3333 0.6667 0.2500
0.6667 0.3333 0.7500
0.0514 0.4322 0.7500
0.3808 0.9486 0.7500
0.4322 0.3808 0.2500
0.5678 0.6192 0.7500
0.6192 0.0514 0.2500
0.9486 0.5678 0.2500
0.0648 0.7260 0.7500
0.2740 0.3388 0.7500
0.3388 0.0648 0.2500
0.6612 0.9352 0.7500
0.7260 0.6612 0.2500
0.9352 0.2740 0.2500
```

---

Entry 6:
ScCo4Ge2: theoretical powder XRD pattern (a wavelength of 1.5418 Å), based on DFT lattice parameters and positions (GGA-PBE).
Neutral-atom scattering factors, no anomalous dispersion.

Main lines, in order of rising 2θ (10° ≤ 2θ ≤ 90°):
2θ 17.69, intensity 34
2θ 37.39, intensity 62
2θ 43.65, intensity 53
2θ 47.45, intensity 100
2θ 49.36, intensity 35
2θ 53.28, intensity 27

```
ScCo4Ge2
1.0
7.0889 0.0000 0.0000
0.0000 7.0889 0.0000
0.0000 0.0000 3.6927
Sc Co Ge
2 8 4
direct
0.0000 0.0000 0.0000
0.5000 0.5000 0.5000
0.0835 0.3521 0.5000
0.1479 0.5835 0.0000
0.3521 0.0835 0.5000
0.4165 0.8521 0.0000
0.5835 0.1479 0.0000
0.6479 0.9165 0.5000
0.8521 0.4165 0.0000
0.9165 0.6479 0.5000
0.2212 0.7788 0.5000
0.2788 0.2788 0.0000
0.7212 0.7212 0.0000
0.7788 0.2212 0.5000
```

---

Entry 7:
Sc3Co2Ge2: theoretical powder XRD pattern (a wavelength of 1.5418 Å), based on DFT lattice parameters and positions (GGA-PBE).
Neutral-atom scattering factors, no anomalous dispersion.

Main lines, in order of rising 2θ (10° ≤ 2θ ≤ 90°):
2θ 22.05, intensity 30
2θ 36.18, intensity 72
2θ 37.32, intensity 53
2θ 38.57, intensity 42
2θ 41.04, intensity 68
2θ 42.66, intensity 100

```
Sc3Co2Ge2
1.0
5.2859 0.0000 0.0000
0.0000 7.2549 0.0000
0.0000 0.0000 12.1984
Sc Co Ge
12 8 8
direct
0.1232 0.2372 0.2500
0.1232 0.2628 0.7500
0.3527 0.5989 0.0992
0.3527 0.5989 0.4008
0.3527 0.9011 0.5992
0.3527 0.9011 0.9008
0.6473 0.0989 0.0992
0.6473 0.0989 0.4008
0.6473 0.4011 0.5992
0.6473 0.4011 0.9008
0.8768 0.7372 0.2500
0.8768 0.7628 0.7500
0.1329 0.5429 0.5894
0.1329 0.5429 0.9106
0.1329 0.9571 0.0894
0.1329 0.9571 0.4106
0.8671 0.0429 0.5894
0.8671 0.0429 0.9106
0.8671 0.4571 0.0894
0.8671 0.4571 0.4106
0.1584 0.2500 0.0000
0.1584 0.2500 0.5000
0.3731 0.6122 0.7500
0.3731 0.8878 0.2500
0.6269 0.1122 0.7500
0.6269 0.3878 0.2500
0.8416 0.7500 0.0000
0.8416 0.7500 0.5000
```

---

Entry 8:
Sc2Co5Si2Ge: theoretical powder XRD pattern (a wavelength of 1.5418 Å), based on DFT lattice parameters and positions (GGA-PBE).
Neutral-atom scattering factors, no anomalous dispersion.

Main lines, in order of rising 2θ (10° ≤ 2θ ≤ 90°):
2θ 39.54, intensity 30
2θ 41.50, intensity 41
2θ 42.13, intensity 100
2θ 45.20, intensity 23
2θ 45.79, intensity 34
2θ 56.13, intensity 19

```
Sc2Co5Si2Ge
1.0
8.9714 0.0000 0.0000
0.0000 8.9714 0.0000
0.0000 0.0000 3.2771
Sc Co Si Ge
4 10 4 2
direct
0.1759 0.3241 0.0000
0.3241 0.8241 0.0000
0.6759 0.1759 0.0000
0.8241 0.6759 0.0000
0.0000 0.5000 0.5000
0.0663 0.7902 0.5000
0.2098 0.0663 0.5000
0.2902 0.5663 0.5000
0.4337 0.2902 0.5000
0.5000 0.0000 0.5000
0.5663 0.7098 0.5000
0.7098 0.4337 0.5000
0.7902 0.9337 0.5000
0.9337 0.2098 0.5000
0.1211 0.6211 0.0000
0.3789 0.1211 0.0000
0.6211 0.8789 0.0000
0.8789 0.3789 0.0000
0.0000 0.0000 0.0000
0.5000 0.5000 0.0000
```

---

Entry 9:
Ti2Co2Si2Ge: theoretical powder XRD pattern (a wavelength of 1.5418 Å), based on DFT lattice parameters and positions (GGA-PBE).
Neutral-atom scattering factors, no anomalous dispersion.

Main lines, in order of rising 2θ (10° ≤ 2θ ≤ 90°):
2θ 13.62, intensity 100
2θ 33.70, intensity 29
2θ 41.04, intensity 62
2θ 41.66, intensity 30
2θ 43.94, intensity 67
2θ 61.69, intensity 35

```
Ti2Co2Si2Ge
1.0
4.1214 0.0000 0.0000
0.0000 4.1214 0.0000
0.0000 0.0000 13.0011
Ti Co Si Ge
4 4 4 2
direct
0.0000 0.0000 0.1898
0.0000 0.0000 0.8102
0.5000 0.5000 0.3102
0.5000 0.5000 0.6898
0.0000 0.5000 0.0000
0.0000 0.5000 0.5000
0.5000 0.0000 0.0000
0.5000 0.0000 0.5000
0.0000 0.0000 0.3860
0.0000 0.0000 0.6140
0.5000 0.5000 0.1140
0.5000 0.5000 0.8860
0.0000 0.0000 0.0000
0.5000 0.5000 0.5000
```

---

Entry 10:
SmCo3Ge3: theoretical powder XRD pattern (a wavelength of 1.5418 Å), based on DFT lattice parameters and positions (GGA-PBE).
Neutral-atom scattering factors, no anomalous dispersion.

Main lines, in order of rising 2θ (10° ≤ 2θ ≤ 90°):
2θ 24.95, intensity 38
2θ 33.20, intensity 43
2θ 33.47, intensity 60
2θ 40.16, intensity 100
2θ 44.76, intensity 40
2θ 61.03, intensity 31

```
SmCo3Ge3
1.0
8.2432 0.0000 0.0000
-4.1216 7.1389 0.0000
0.0000 0.0000 4.0492
Sm Co Ge
2 6 6
direct
0.3333 0.6667 0.2500
0.6667 0.3333 0.7500
0.0592 0.2018 0.2500
0.1426 0.9408 0.2500
0.2018 0.1426 0.7500
0.7982 0.8574 0.2500
0.8574 0.0592 0.7500
0.9408 0.7982 0.7500
0.0990 0.3734 0.7500
0.2744 0.9010 0.7500
0.3734 0.2744 0.2500
0.6266 0.7256 0.7500
0.7256 0.0990 0.2500
0.9010 0.6266 0.2500
```

---

Entry 11:
Sm2Co3Ge5: theoretical powder XRD pattern (a wavelength of 1.5418 Å), based on DFT lattice parameters and positions (GGA-PBE).
Neutral-atom scattering factors, no anomalous dispersion.

Main lines, in order of rising 2θ (10° ≤ 2θ ≤ 90°):
2θ 34.79, intensity 45
2θ 35.38, intensity 65
2θ 35.45, intensity 95
2θ 35.58, intensity 63
2θ 36.36, intensity 48
2θ 43.59, intensity 100

```
Sm2Co3Ge5
1.0
5.6122 -5.9298 0.0000
5.6122 5.9298 0.0000
-2.8957 0.0000 5.0468
Sm Co Ge
4 6 10
direct
0.0984 0.3714 0.2339
0.3714 0.0984 0.7339
0.6286 0.9016 0.2661
0.9016 0.6286 0.7661
0.0358 0.7595 0.3820
0.2405 0.9642 0.1180
0.4953 0.5047 0.2500
0.5047 0.4953 0.7500
0.7595 0.0358 0.8820
0.9642 0.2405 0.6180
0.0067 0.9933 0.7500
0.2414 0.4311 0.8313
0.2675 0.7325 0.7500
0.2789 0.7211 0.2500
0.4311 0.2414 0.3313
0.5689 0.7586 0.6687
0.7211 0.2789 0.7500
0.7325 0.2675 0.2500
0.7586 0.5689 0.1687
0.9933 0.0067 0.2500
```

---

Entry 12:
Sm2Co16Ge: theoretical powder XRD pattern (a wavelength of 1.5418 Å), based on DFT lattice parameters and positions (GGA-PBE).
Neutral-atom scattering factors, no anomalous dispersion.

Main lines, in order of rising 2θ (10° ≤ 2θ ≤ 90°):
2θ 30.70, intensity 36
2θ 37.14, intensity 44
2θ 38.66, intensity 38
2θ 43.15, intensity 71
2θ 43.56, intensity 100
2θ 44.79, intensity 31

```
Sm2Co16Ge
1.0
4.1931 2.4209 4.0469
-4.1931 2.4209 4.0469
0.0000 -4.8418 4.0469
Sm Co Ge
2 16 1
direct
0.0000 0.0000 0.0000
0.3079 0.3079 0.3079
0.0006 0.0006 0.5062
0.0006 0.5062 0.0006
0.1526 0.6603 0.6603
0.3076 0.3076 0.8048
0.3076 0.8048 0.3076
0.3694 0.6582 0.9460
0.3694 0.9460 0.6582
0.5062 0.0006 0.0006
0.6582 0.3694 0.9460
0.6582 0.9460 0.3694
0.6603 0.1526 0.6603
0.6603 0.6603 0.1526
0.7549 0.7549 0.7549
0.8048 0.3076 0.3076
0.9460 0.3694 0.6582
0.9460 0.6582 0.3694
0.5580 0.5580 0.5580
```